Record 1
Calculated PXRD pattern of CsPmIn2 for Cu Kα, from a GGA-PBE-relaxed structure.
Peak positions follow from Bragg's law for the DFT cell and can differ from measured ones.

Atomic structure:
a b c (Å): 4.0091 4.0091 9.1739
angles (deg): 90.00 90.00 90.00
Sites, in units of the cell vectors:
Cs 0.0000 0.0000 0.0000
Pm 0.0000 0.0000 0.5000
In 0.5000 0.5000 0.3157
In 0.5000 0.5000 0.6843

Peak list (10 most intense, 2θ from 10° to 90°, most intense first)
d 3.019, 2θ 29.59, intensity 100, (1 0 2)
d 2.835, 2θ 31.56, intensity 58, (1 1 0)
d 1.670, 2θ 54.99, intensity 37, (2 1 2)
d 2.005, 2θ 45.24, intensity 21, (2 0 0)
d 2.431, 2θ 36.97, intensity 17, (1 0 3)
d 1.991, 2θ 45.57, intensity 14, (1 0 4)
d 1.283, 2θ 73.88, intensity 10, (3 0 2)
d 1.268, 2θ 74.90, intensity 9, (3 1 0)
d 1.346, 2θ 69.90, intensity 9, (1 1 6)
d 1.413, 2θ 66.15, intensity 9, (2 1 4)



Record 2
Calculated PXRD pattern of HoTm4Th3 for Cu Kα, from a GGA-PBE-relaxed structure.
Peak positions follow from Bragg's law for the DFT cell and can differ from measured ones.

Atomic structure:
a b c (Å): 11.4578 7.1001 6.1889
angles (deg): 90.00 90.00 90.00
Sites, in units of the cell vectors:
Ho 0.0000 0.1262 0.0000
Ho 0.5000 0.8738 0.5000
Tm 0.0000 0.3747 0.4916
Tm 0.0000 0.6308 0.9929
Tm 0.2493 0.3740 0.8332
Tm 0.2507 0.6260 0.3332
Tm 0.5000 0.3692 0.4929
Tm 0.5000 0.6253 0.9916
Tm 0.7493 0.6260 0.3332
Tm 0.7507 0.3740 0.8332
Th 0.0000 0.8752 0.4982
Th 0.2502 0.1165 0.3254
Th 0.2498 0.8835 0.8254
Th 0.5000 0.1248 0.9982
Th 0.7498 0.1165 0.3254
Th 0.7502 0.8835 0.8254

Peak list (10 most intense, 2θ from 10° to 90°, most intense first)
d 2.712, 2θ 33.02, intensity 100, (2 2 1)
d 2.723, 2θ 32.90, intensity 51, (2 0 2)
d 2.864, 2θ 31.23, intensity 39, (4 0 0)
d 1.624, 2θ 56.69, intensity 33, (6 0 2)
d 3.079, 2θ 29.00, intensity 24, (0 2 1)
d 1.514, 2θ 61.22, intensity 23, (4 2 3)
d 1.784, 2θ 51.22, intensity 20, (0 2 3)
d 2.097, 2θ 43.13, intensity 16, (4 2 1)
d 1.487, 2θ 62.46, intensity 16, (2 4 2)
d 3.094, 2θ 28.85, intensity 12, (0 0 2)